# AlH3O3
Computed X-ray diffraction stick pattern, Cu Kα (λ = 1.5418 Å). Input: a GGA-PBE-relaxed structure.
Neutral-atom scattering factors, no anomalous dispersion.

Most intense lines, 2θ = 10–90°, in order of rising 2θ:
| h k l | 2θ (°) | d/Å | intensity |
| --- | --- | --- | --- |
| 0 0 2 | 24.50 | 3.634 | 100 |
| 2 1 0 | 39.36 | 2.289 | 16 |
| 1 0 3 | 41.15 | 2.193 | 29 |
| 2 1 1 | 41.35 | 2.184 | 13 |
| 2 2 0 | 50.28 | 1.814 | 14 |
| 1 3 0 | 56.52 | 1.628 | 29 |
| 0 2 4 | 62.45 | 1.487 | 13 |
| 3 1 2 | 62.88 | 1.478 | 15 |

Unit cell a=5.109 b=5.155 c=7.285 alpha=90.00 beta=90.00 gamma=90.00
Sites, in units of the cell vectors:
Al (0.248, 0.001, 0.000)
Al (0.252, 0.999, 0.500)
Al (0.748, 0.499, 0.000)
Al (0.752, 0.501, 0.500)
H (0.036, 0.799, 0.747)
H (0.079, 0.670, 0.201)
H (0.213, 0.542, 0.479)
H (0.287, 0.458, 0.979)
H (0.421, 0.330, 0.701)
H (0.464, 0.201, 0.247)
H (0.536, 0.701, 0.253)
H (0.579, 0.830, 0.799)
H (0.713, 0.958, 0.521)
H (0.787, 0.042, 0.021)
H (0.921, 0.170, 0.299)
H (0.964, 0.299, 0.753)
O (0.072, 0.682, 0.064)
O (0.085, 0.679, 0.442)
O (0.135, 0.963, 0.750)
O (0.365, 0.037, 0.250)
O (0.415, 0.321, 0.942)
O (0.428, 0.318, 0.564)
O (0.572, 0.818, 0.936)
O (0.585, 0.821, 0.558)
O (0.635, 0.537, 0.250)
O (0.865, 0.463, 0.750)
O (0.915, 0.179, 0.058)
O (0.928, 0.182, 0.436)